Diffraction record for Sm8Te3As4. The X-ray powder pattern is simulated, not measured: it uses a crystal structure in Alexandria, relaxed with PBE and λ = 1.5418 Å (Cu Kα).
Peak positions follow from Bragg's law for the DFT cell and can differ from measured ones.

Crystal structure
abc: 8.592 8.592 8.561
angles: 119.79 119.79 90.10
Positions (direct):
1 Sm 0.230 0.230 0.979
2 Sm 0.238 0.238 0.484
3 Sm 0.239 0.761 0.000
4 Sm 0.242 0.758 0.500
5 Sm 0.758 0.242 0.500
6 Sm 0.761 0.239 0.000
7 Sm 0.762 0.762 0.516
8 Sm 0.770 0.770 0.021
9 Te 0.000 0.500 0.000
10 Te 0.500 0.000 0.000
11 Te 0.500 0.500 0.000
12 As 0.000 0.000 0.000
13 As 0.000 0.000 0.500
14 As 0.000 0.500 0.500
15 As 0.500 0.000 0.500

Top 10 peaks for 2θ from 10° to 80°, in order of falling intensity:
| 2θ (°) | I (rel.) |
| --- | --- |
| 29.38 | 100 |
| 42.04 | 49 |
| 52.27 | 13 |
| 51.97 | 13 |
| 42.22 | 13 |
| 41.87 | 12 |
| 69.08 | 11 |
| 76.97 | 8 |
| 68.99 | 8 |
| 60.91 | 8 |